# 1
Simulated powder X-ray diffraction pattern
Compound: SmGa4Pt12
Radiation: Cu Ka
Structure: the PBE geometry in Alexandria
Kinematic intensities with the Lorentz-polarization factor, no thermal factor.

Top 6 peaks for 2θ from 10° to 80°, in order of rising 2θ:
2theta, d_spacing, I (rel.)
33.0, 2.715, 100
39.3, 2.294, 37
47.4, 1.920, 13
52.2, 1.752, 14
54.5, 1.684, 34
75.0, 1.266, 16

Cell and atoms:
```
17
Lattice="-4.293 4.293 4.293 4.293 -4.293 4.293 4.293 4.293 -4.293" Properties=species:S:1:pos:R:3 pbc="T T T"
Sm 0.000 0.000 0.000
Ga 2.146 2.146 -2.146
Ga 2.146 -2.146 2.146
Ga -2.146 2.146 2.146
Ga 2.146 2.146 2.146
Pt 2.970 1.313 0.000
Pt 5.615 1.313 0.000
Pt 4.293 -1.323 2.980
Pt 2.980 4.293 -1.323
Pt 1.313 0.000 2.970
Pt 0.000 2.970 1.313
Pt 4.293 1.323 2.980
Pt 2.980 4.293 1.323
Pt 1.313 0.000 5.615
Pt 0.000 5.615 1.313
Pt -1.323 2.980 4.293
Pt 1.323 2.980 4.293
```

# 2
Simulated powder X-ray diffraction pattern
Compound: Tl13In2
Radiation: Cu Ka
Structure: the PBE geometry in Alexandria
Kinematic intensities with the Lorentz-polarization factor, no thermal factor.

Top 6 peaks for 2θ from 10° to 80°, in order of rising 2θ:
2theta, d_spacing, I (rel.)
23.9, 3.729, 18
31.6, 2.830, 100
32.2, 2.777, 26
35.1, 2.559, 55
42.3, 2.139, 32
61.6, 1.506, 33

Cell and atoms:
```
15
Lattice="4.357 2.515 8.123 -4.357 2.515 8.123 0.000 -5.031 8.123" Properties=species:S:1:pos:R:3 pbc="T T T"
Tl 0.000 0.000 0.000
Tl 0.000 -1.970 5.783
Tl -1.706 0.985 5.783
Tl 0.000 -1.907 9.202
Tl -1.651 0.953 9.202
Tl -1.651 -0.953 15.168
Tl 1.706 0.985 5.783
Tl -1.706 -0.985 18.587
Tl 1.651 0.953 9.202
Tl 1.651 -0.953 15.168
Tl 0.000 1.907 15.168
Tl 1.706 -0.985 18.587
Tl 0.000 1.970 18.587
In 0.000 0.000 3.203
In 0.000 0.000 21.167
```

# 3
Simulated powder X-ray diffraction pattern
Compound: Th2Sb3Pd5
Radiation: Cu Ka
Structure: the PBE geometry in Alexandria
Kinematic intensities with the Lorentz-polarization factor, no thermal factor.

Top 6 peaks for 2θ from 10° to 80°, in order of rising 2θ:
2theta, d_spacing, I (rel.)
33.1, 2.709, 100
33.7, 2.661, 68
37.2, 2.419, 45
39.5, 2.284, 18
39.6, 2.277, 43
64.0, 1.455, 17

Cell and atoms:
```
20
Lattice="2.277 -12.828 0.000 2.277 12.828 0.000 0.000 0.000 7.332" Properties=species:S:1:pos:R:3 pbc="T T T"
Th 2.277 12.230 3.666
Th 2.277 4.551 4.024
Th 2.277 -4.551 0.357
Th 2.277 -12.230 0.000
Sb 2.277 9.965 5.923
Sb 2.277 5.611 0.281
Sb 2.277 1.199 5.075
Sb 2.277 -1.199 1.409
Sb 2.277 -5.611 3.947
Sb 2.277 -9.965 2.256
Pd 2.277 10.101 1.453
Pd 2.277 7.401 2.378
Pd 2.277 7.274 5.475
Pd 2.277 2.918 7.174
Pd 2.277 1.394 2.318
Pd 2.277 -1.394 5.984
Pd 2.277 -2.918 3.508
Pd 2.277 -7.274 1.808
Pd 2.277 -7.401 6.045
Pd 2.277 -10.101 5.119
```

# 4
Simulated powder X-ray diffraction pattern
Compound: PuPaF6
Radiation: Cu Ka
Structure: the PBE geometry in Alexandria
Kinematic intensities with the Lorentz-polarization factor, no thermal factor.

Top 6 peaks for 2θ from 10° to 80°, in order of rising 2θ:
2theta, d_spacing, I (rel.)
22.1, 4.026, 93
26.6, 3.346, 100
31.4, 2.847, 23
41.7, 2.168, 76
49.6, 1.839, 22
53.1, 1.725, 22

Cell and atoms:
```
16
Lattice="5.693 0.000 0.000 0.000 5.693 0.000 0.000 0.000 8.270" Properties=species:S:1:pos:R:3 pbc="T T T"
Pu 0.000 0.000 0.000
Pu 0.000 0.000 4.135
Pa 2.847 2.847 2.067
Pa 2.847 2.847 6.202
F 1.234 1.351 1.516
F 1.234 1.351 6.754
F 1.351 4.460 2.619
F 1.351 4.460 5.650
F 1.838 1.892 4.135
F 1.892 3.855 0.000
F 3.801 1.838 0.000
F 3.855 3.801 4.135
F 4.343 1.234 2.619
F 4.343 1.234 5.650
F 4.460 4.343 1.516
F 4.460 4.343 6.754
```

# 5
Simulated powder X-ray diffraction pattern
Compound: Ti6NbTl
Radiation: Cu Ka
Structure: the PBE geometry in Alexandria
Kinematic intensities with the Lorentz-polarization factor, no thermal factor.

Top 6 peaks for 2θ from 10° to 80°, in order of rising 2θ:
2theta, d_spacing, I (rel.)
23.2, 3.830, 42
27.0, 3.307, 30
38.3, 2.349, 100
38.7, 2.328, 95
55.6, 1.654, 32
69.5, 1.352, 31

Cell and atoms:
```
8
Lattice="2.349 1.356 7.569 -2.349 1.356 7.569 0.000 -2.713 7.569" Properties=species:S:1:pos:R:3 pbc="T T T"
Ti 0.000 0.000 2.727
Ti 0.000 0.000 5.695
Ti 0.000 0.000 8.394
Ti 0.000 0.000 14.314
Ti 0.000 0.000 17.013
Ti 0.000 0.000 19.981
Nb 0.000 0.000 0.000
Tl 0.000 0.000 11.354
```

# 6
Simulated powder X-ray diffraction pattern
Compound: Li3Cu3Ni2
Radiation: Cu Ka
Structure: the PBE geometry in Alexandria
Kinematic intensities with the Lorentz-polarization factor, no thermal factor.

Top 6 peaks for 2θ from 10° to 80°, in order of rising 2θ:
2theta, d_spacing, I (rel.)
14.8, 5.971, 100
25.8, 3.448, 56
39.9, 2.257, 26
44.6, 2.032, 87
45.6, 1.990, 38
47.3, 1.924, 30

Cell and atoms:
```
8
Lattice="6.895 0.000 0.000 -3.448 5.971 0.000 0.000 0.000 2.515" Properties=species:S:1:pos:R:3 pbc="T T T"
Li -0.894 1.549 0.000
Li 1.788 0.000 0.000
Li 2.554 4.423 0.000
Cu -2.087 3.614 1.258
Cu 1.361 2.357 1.258
Cu 4.173 0.000 1.258
Ni 0.000 3.981 0.000
Ni 3.448 1.990 0.000
```

# 7
Simulated powder X-ray diffraction pattern
Compound: Tb5SmIn3
Radiation: Cu Ka
Structure: the PBE geometry in Alexandria
Kinematic intensities with the Lorentz-polarization factor, no thermal factor.

Top 6 peaks for 2θ from 10° to 80°, in order of rising 2θ:
2theta, d_spacing, I (rel.)
32.6, 2.746, 95
33.0, 2.718, 100
47.0, 1.931, 34
58.6, 1.574, 35
58.9, 1.569, 19
65.0, 1.435, 28

Cell and atoms:
```
18
Lattice="9.414 0.000 0.000 -4.707 8.153 0.000 0.000 0.000 6.760" Properties=species:S:1:pos:R:3 pbc="T T T"
Tb -1.561 2.705 1.690
Tb -3.146 5.448 5.070
Tb 3.123 0.000 1.690
Tb 1.561 2.705 5.070
Tb 0.000 5.435 0.000
Tb 0.000 5.435 3.380
Tb 4.707 2.718 0.000
Tb 4.707 2.718 3.380
Tb 6.291 0.000 5.070
Tb 3.146 5.448 1.690
Sm 0.000 0.000 0.000
Sm 0.000 0.000 3.380
In -1.585 2.745 5.070
In -3.122 5.407 1.690
In 3.170 0.000 5.070
In 1.585 2.745 1.690
In 6.244 0.000 1.690
In 3.122 5.407 5.070
```

# 8
Simulated powder X-ray diffraction pattern
Compound: LaTb9Er2
Radiation: Cu Ka
Structure: the PBE geometry in Alexandria
Kinematic intensities with the Lorentz-polarization factor, no thermal factor.

Top 6 peaks for 2θ from 10° to 80°, in order of rising 2θ:
2theta, d_spacing, I (rel.)
29.9, 2.992, 26
31.3, 2.861, 52
31.7, 2.824, 100
35.2, 2.552, 23
56.2, 1.638, 17
62.0, 1.496, 29

Cell and atoms:
```
12
Lattice="11.297 0.000 0.000 -5.648 9.783 0.000 0.000 0.000 3.527" Properties=species:S:1:pos:R:3 pbc="T T T"
La 0.000 0.000 0.000
Tb -2.824 4.892 0.000
Tb 0.000 3.505 1.764
Tb -2.613 8.031 1.764
Tb 3.035 1.753 1.764
Tb 5.648 0.000 0.000
Tb 2.824 4.892 0.000
Tb 2.613 8.031 1.764
Tb 8.261 1.753 1.764
Tb 5.648 6.278 1.764
Er 0.000 6.522 0.000
Er 5.648 3.261 0.000
```

# 9
Simulated powder X-ray diffraction pattern
Compound: Sr2Mg9Cd6
Radiation: Cu Ka
Structure: the PBE geometry in Alexandria
Kinematic intensities with the Lorentz-polarization factor, no thermal factor.

Top 6 peaks for 2θ from 10° to 80°, in order of rising 2θ:
2theta, d_spacing, I (rel.)
16.7, 5.312, 21
18.2, 4.867, 36
29.1, 3.067, 55
34.6, 2.595, 100
47.7, 1.906, 27
55.2, 1.664, 25

Cell and atoms:
```
17
Lattice="6.133 0.000 0.000 -3.067 5.312 0.000 0.000 0.000 14.602" Properties=species:S:1:pos:R:3 pbc="T T T"
Sr 0.000 0.000 2.327
Sr 0.000 0.000 12.274
Mg -1.533 2.656 0.000
Mg -1.533 2.656 4.899
Mg -1.533 2.656 9.703
Mg 3.067 0.000 0.000
Mg 3.067 0.000 4.899
Mg 3.067 0.000 9.703
Mg 1.533 2.656 0.000
Mg 1.533 2.656 4.899
Mg 1.533 2.656 9.703
Cd 0.000 3.541 2.443
Cd 0.000 3.541 7.301
Cd 0.000 3.541 12.158
Cd 3.067 1.771 2.443
Cd 3.067 1.771 7.301
Cd 3.067 1.771 12.158
```

# 10
Simulated powder X-ray diffraction pattern
Compound: K3SiCl2F6
Radiation: Cu Ka
Structure: the PBE geometry in Alexandria
Kinematic intensities with the Lorentz-polarization factor, no thermal factor.

Top 6 peaks for 2θ from 10° to 80°, in order of rising 2θ:
2theta, d_spacing, I (rel.)
22.2, 4.007, 100
26.5, 3.358, 59
33.5, 2.678, 63
36.1, 2.485, 47
40.7, 2.215, 31
43.1, 2.097, 47

Cell and atoms:
```
12
Lattice="6.716 -3.010 0.000 6.716 3.010 0.000 -0.037 0.000 5.860" Properties=species:S:1:pos:R:3 pbc="T T T"
K 0.000 0.000 0.000
K 3.339 1.505 2.930
K 3.339 -1.505 2.930
Si 6.697 0.000 2.930
Cl 3.175 0.000 0.105
Cl 10.219 0.000 5.755
F 5.958 1.228 1.967
F 7.437 1.228 3.893
F 5.306 0.000 3.934
F 8.088 0.000 1.926
F 5.958 -1.228 1.967
F 7.437 -1.228 3.893
```

# 11
Simulated powder X-ray diffraction pattern
Compound: Tb2ErCu
Radiation: Cu Ka
Structure: the PBE geometry in Alexandria
Kinematic intensities with the Lorentz-polarization factor, no thermal factor.

Top 6 peaks for 2θ from 10° to 80°, in order of rising 2θ:
2theta, d_spacing, I (rel.)
30.5, 2.926, 23
31.0, 2.887, 100
32.0, 2.801, 45
32.1, 2.791, 58
35.0, 2.563, 26
57.1, 1.614, 39

Cell and atoms:
```
16
Lattice="6.833 0.000 0.000 0.000 9.678 0.000 0.000 0.000 6.477" Properties=species:S:1:pos:R:3 pbc="T T T"
Tb 1.323 0.576 1.207
Tb 1.323 4.263 1.207
Tb 2.093 5.415 4.446
Tb 2.093 9.102 4.446
Tb 4.740 0.576 2.031
Tb 4.740 4.263 2.031
Tb 5.510 5.415 5.269
Tb 5.510 9.102 5.269
Er 0.148 2.420 4.095
Er 3.269 7.259 0.856
Er 3.565 2.420 5.620
Er 6.685 7.259 2.382
Cu 0.645 7.259 6.168
Cu 2.772 2.420 2.929
Cu 4.061 7.259 3.547
Cu 6.188 2.420 0.309
```

# 12
Simulated powder X-ray diffraction pattern
Compound: U7Mo
Radiation: Cu Ka
Structure: the PBE geometry in Alexandria
Kinematic intensities with the Lorentz-polarization factor, no thermal factor.

Top 6 peaks for 2θ from 10° to 80°, in order of rising 2θ:
2theta, d_spacing, I (rel.)
34.7, 2.585, 34
35.4, 2.538, 32
38.8, 2.319, 100
50.4, 1.811, 24
65.0, 1.436, 23
65.8, 1.419, 21

Cell and atoms:
```
8
Lattice="3.018 0.000 0.000 0.000 5.171 0.000 0.000 0.000 10.154" Properties=species:S:1:pos:R:3 pbc="T T T"
U 0.000 0.000 0.000
U 0.000 0.000 5.077
U 0.000 2.585 2.515
U 0.000 2.585 7.639
U 1.509 0.000 2.434
U 1.509 0.000 7.720
U 1.509 2.585 5.077
Mo 1.509 2.585 0.000
```